Structure and simulated powder diffraction line list of Tm5Sc5Bi6 (a cell relaxed with GGA-PBE; Cu Kα, 1.54184 Å).
Peak positions follow from Bragg's law for the DFT cell and can differ from measured ones.

Atomic structure:
Cell lengths 6.141, 15.276, 8.927 Å; angles 90.00, 90.00, 90.00 degrees
Space group Amm2 (No. 38)
One atom of each set of equivalent atoms:
Tm 0.000 0.000 0.000
Tm 0.000 0.119 0.637
Tm 0.500 0.120 0.876
Sc 0.250 0.168 0.255
Sc 0.500 0.000 0.508
Bi 0.000 0.000 0.362
Bi 0.000 0.198 0.953
Bi 0.500 0.000 0.153
Bi 0.500 0.194 0.557

Peak list (6 most intense, 10° ≤ 2θ ≤ 90°, in order of rising 2θ)
(hkl), Position (°2θ), I (rel.)
0 3 1, 20.1, 59.5
2 0 0, 29.1, 100.0
1 1 3, 34.0, 90.3
1 4 2, 34.2, 99.7
1 5 1, 34.3, 85.6
2 3 1, 35.6, 68.3

Structure and simulated powder diffraction line list of NpTaH4 (a cell relaxed with GGA-PBE; Cu Kα, 1.54184 Å).
Peak positions follow from Bragg's law for the DFT cell and can differ from measured ones.

Atomic structure:
Cell lengths 5.159, 5.159, 8.237 Å; angles 90.00, 90.00, 90.00 degrees
Space group I4_1/amd (No. 141, origin choice 2)
One atom of each set of equivalent atoms:
Np 0.000 0.250 0.375
Ta 0.000 0.250 0.875
H 0.210 0.000 0.000

Peak list (6 most intense, 10° ≤ 2θ ≤ 90°, in order of rising 2θ)
(hkl), Position (°2θ), I (rel.)
1 1 2, 32.8, 100.0
2 0 0, 34.8, 41.7
2 2 0, 50.0, 15.9
2 0 4, 57.2, 21.4
3 1 2, 61.1, 34.7
2 2 4, 68.8, 12.1

Structure and simulated powder diffraction line list of TbSm6Ho2Th3 (a cell relaxed with GGA-PBE; Cu Kα, 1.54184 Å).
Peak positions follow from Bragg's law for the DFT cell and can differ from measured ones.

Atomic structure:
Cell lengths 6.229, 10.776, 11.921 Å; angles 90.00, 100.03, 90.00 degrees
Space group C2/m (No. 12)
One atom of each set of equivalent atoms:
Tb 0.000 0.000 0.000
Sm 0.249 0.000 0.747
Sm 0.249 0.333 0.747
Ho 0.000 0.333 0.000
Th 0.000 0.167 0.500
Th 0.000 0.500 0.500

Peak list (6 most intense, 10° ≤ 2θ ≤ 90°, in order of rising 2θ)
(hkl), Position (°2θ), I (rel.)
1 3 1, 30.5, 100.0
2 0 2, 35.3, 50.8
0 6 0, 50.8, 36.5
4 0 0, 60.4, 43.5
4 6 0, 82.8, 15.0
5 3 1, 85.4, 14.0

Structure and simulated powder diffraction line list of TcAsAu2 (a cell relaxed with GGA-PBE; Cu Kα, 1.54184 Å).
Peak positions follow from Bragg's law for the DFT cell and can differ from measured ones.

Atomic structure:
Cell lengths 3.205, 3.205, 6.624 Å; angles 90.00, 90.00, 90.00 degrees
Space group P4mm (No. 99)
One atom of each set of equivalent atoms:
Tc 0.000 0.000 0.000
As 0.500 0.500 0.172
Au 0.000 0.000 0.459
Au 0.500 0.500 0.726

Peak list (6 most intense, 10° ≤ 2θ ≤ 90°, in order of rising 2θ)
(hkl), Position (°2θ), I (rel.)
1 0 1, 31.0, 24.8
1 0 2, 39.1, 100.0
1 1 0, 39.8, 51.7
2 0 0, 57.5, 17.6
1 1 4, 70.4, 14.1
2 1 2, 71.8, 33.9

Structure and simulated powder diffraction line list of TlTcO5 (a cell relaxed with GGA-PBE; Cu Kα, 1.54184 Å).
Peak positions follow from Bragg's law for the DFT cell and can differ from measured ones.

Atomic structure:
Cell lengths 8.168, 6.289, 9.674 Å; angles 90.00, 103.16, 90.00 degrees
Space group Cc (No. 9)
One atom of each set of equivalent atoms:
Tl 0.000 0.107 0.000
Tc 0.153 0.320 0.715
O 0.005 0.332 0.851
O 0.102 0.419 0.168
O 0.225 0.221 0.567
O 0.335 0.305 0.850
O 0.493 0.420 0.171

Peak list (6 most intense, 10° ≤ 2θ ≤ 90°, in order of rising 2θ)
(hkl), Position (°2θ), I (rel.)
1 1 0, 18.0, 59.5
1 1 1, 21.5, 100.0
2 0 0, 22.4, 40.5
1 1 -2, 24.2, 44.2
2 0 -2, 25.8, 54.7
1 1 2, 28.0, 43.1

Structure and simulated powder diffraction line list of V4SiN (a cell relaxed with GGA-PBE; Cu Kα, 1.54184 Å).
Peak positions follow from Bragg's law for the DFT cell and can differ from measured ones.

Atomic structure:
Cell lengths 6.886, 6.886, 6.934 Å; angles 90.00, 90.00, 90.00 degrees
Space group I4_1md (No. 109)
One atom of each set of equivalent atoms:
V 0.000 0.291 0.000
V 0.000 0.325 0.424
Si 0.000 0.000 0.477
N 0.000 0.000 0.942

Peak list (6 most intense, 10° ≤ 2θ ≤ 90°, in order of rising 2θ)
(hkl), Position (°2θ), I (rel.)
2 0 0, 25.9, 28.1
2 0 2, 36.8, 100.0
2 2 0, 36.9, 22.7
3 1 0, 41.5, 44.3
3 1 2, 49.4, 34.7
3 3 2, 63.3, 26.8